[1]
Simulated PXRD pattern of NpPtAuO6 for Cu Kα X-rays, from the PBE geometry in Alexandria.
Lines closer than 0.1° are merged.

Atomic structure:
```
data_NpPtAuO6
_chemical_formula_sum 'Np2 Pt2 Au2 O12'
_space_group_name_H-M_alt 'P -3 1 c'
_space_group_IT_number 163
_space_group_name_Hall '-P 3 2c'
_cell_length_a 5.3643
_cell_length_b 5.3643
_cell_length_c 9.9125
_cell_angle_alpha 90.00
_cell_angle_beta 90.00
_cell_angle_gamma 120.00
loop_
_atom_site_label
_atom_site_type_symbol
_atom_site_fract_x
_atom_site_fract_y
_atom_site_fract_z
Np1 Np 0.3333 0.6667 0.2500
Pt1 Pt 0.3333 0.6667 0.7500
Au1 Au 0.0000 0.0000 0.0000
O1 O 0.0065 0.3565 0.6369
```

Top 6 peaks for 2θ from 10° to 90°, sorted by position:
2θ (°), intensity, hkl
26.29, 100, 1 0 2
33.41, 53, 1 1 0
43.00, 27, 2 0 2
50.12, 46, 1 1 4
55.52, 26, 2 1 2
59.71, 15, 3 0 0

=====

[2]
Simulated PXRD pattern of As2Rh3 for Cu Kα X-rays, from the PBE geometry in Alexandria.
Lines closer than 0.1° are merged.

Atomic structure:
```
data_As2Rh3
_chemical_formula_sum 'As4 Rh6'
_space_group_name_H-M_alt 'P 1 21/m 1'
_space_group_IT_number 11
_space_group_name_Hall '-P 2yb'
_cell_length_a 6.079
_cell_length_b 3.831
_cell_length_c 7.948
_cell_angle_alpha 90.00
_cell_angle_beta 102.66
_cell_angle_gamma 90.00
loop_
_atom_site_label
_atom_site_type_symbol
_atom_site_fract_x
_atom_site_fract_y
_atom_site_fract_z
As1 As 0.229 0.250 0.342
As2 As 0.266 0.250 0.818
Rh1 Rh 0.145 0.750 0.612
Rh2 Rh 0.454 0.250 0.116
Rh3 Rh 0.476 0.750 0.376
```

Top 6 peaks for 2θ from 10° to 90°, sorted by position:
2θ (°), intensity, hkl
11.41, 49, 0 0 1
14.94, 69, 1 0 0
38.41, 100, 1 1 2
41.40, 71, 2 1 -2
47.47, 41, 0 2 0
48.74, 34, 2 1 2

=====

[3]
Simulated PXRD pattern of NdPtAu2 for Cu Kα X-rays, from the PBE geometry in Alexandria.
Lines closer than 0.1° are merged.

Atomic structure:
```
data_NdPtAu2
_chemical_formula_sum 'Nd4 Pt4 Au8'
_space_group_name_H-M_alt 'C 1 2/c 1'
_space_group_IT_number 15
_space_group_name_Hall '-C 2yc'
_cell_length_a 5.303
_cell_length_b 13.790
_cell_length_c 5.285
_cell_angle_alpha 90.00
_cell_angle_beta 117.48
_cell_angle_gamma 90.00
loop_
_atom_site_label
_atom_site_type_symbol
_atom_site_fract_x
_atom_site_fract_y
_atom_site_fract_z
Nd1 Nd 0.000 0.135 0.250
Pt1 Pt 0.000 0.250 0.750
Au1 Au 0.179 0.422 0.098
```

Top 6 peaks for 2θ from 10° to 90°, sorted by position:
2θ (°), intensity, hkl
20.66, 22, 1 1 -1
34.59, 40, 1 1 -2
36.33, 40, 2 2 -1
38.18, 100, 1 3 1
39.20, 21, 0 6 0
40.52, 16, 2 2 0